For CsHg7, the PBE geometry in Alexandria gives the calculated X-ray diffraction stick pattern in this record (Cu Kα, 1.54184 Å).

Peak list (10 most intense, 2θ = 10–90°, by angle)
| hkl | d [Å] | 2theta | intensity |
| --- | --- | --- | --- |
| 2 0 0 | 3.300 | 27.02 | 24 |
| 2 0 1 | 2.825 | 31.67 | 100 |
| 0 0 2 | 2.735 | 32.75 | 22 |
| 2 1 1 | 2.269 | 39.72 | 8 |
| 2 0 2 | 2.106 | 42.96 | 14 |
| 2 2 0 | 1.905 | 47.74 | 18 |
| 2 0 3 | 1.596 | 57.78 | 19 |
| 4 0 1 | 1.580 | 58.43 | 13 |
| 2 2 2 | 1.563 | 59.10 | 19 |
| 4 2 1 | 1.216 | 78.69 | 10 |

Structure:
Lattice parameters (Å, degrees): 7.6201 7.6201 5.4694 90.00 90.00 120.00
Sites, in units of the cell vectors:
Cs1 0.0000 0.0000 0.0000
Hg1 0.0195 0.5098 0.0000
Hg2 0.3333 0.6667 0.5000
Hg3 0.3849 0.1924 0.5000
Hg4 0.4902 0.5098 0.0000
Hg5 0.4902 0.9805 0.0000
Hg6 0.8076 0.1924 0.5000
Hg7 0.8076 0.6151 0.5000